For Nd3Ho2Tl2, a DFT-relaxed cell (GGA-PBE, Alexandria) gives the calculated X-ray diffraction stick pattern in this record (Cu Kα (weighted mean of Kα1 and Kα2)).
Lines closer than 0.1° are merged.

Main lines, low angle first (2θ from 10° to 80°):
two_theta, I (rel.)
30.96, 90
31.59, 100
33.67, 38
35.72, 36
39.24, 23
49.90, 25
54.10, 18
59.27, 18
61.43, 30
61.60, 15

Structural model:
```
Nd3Ho2Tl2
1.0
2.514 -11.999 0.000
2.514 11.999 0.000
0.000 0.000 3.567
Nd Ho Tl
3 2 2
direct
0.000 0.000 0.000
0.145 0.855 0.000
0.855 0.145 0.000
0.287 0.713 0.500
0.713 0.287 0.500
0.427 0.573 0.500
0.573 0.427 0.500
```